No. 1
Structure and simulated powder XRD pattern of Te (a DFT-relaxed cell (GGA-PBE, the Materials Project); Cu Kα X-rays).
Lines closer than 0.1° are merged.

Top 8 peaks for 2θ = 10–80°, by angle:
2θ 27.40, intensity 1000, hkl 1 2 0
2θ 30.73, intensity 494, hkl 0 1 1
2θ 34.17, intensity 222, hkl 2 0 0
2θ 35.27, intensity 428, hkl 1 1 1
2θ 43.62, intensity 137, hkl 0 4 0
2θ 46.61, intensity 218, hkl 2 1 1
2θ 47.28, intensity 353, hkl 1 3 1
2θ 66.71, intensity 155, hkl 1 2 2

```
data_Te
_symmetry_space_group_name_H-M 'P 21 21 2'
_symmetry_Int_Tables_number 18
_cell_length_a 5.2476
_cell_length_b 8.2995
_cell_length_c 3.1071
_cell_angle_alpha 90.00
_cell_angle_beta 90.00
_cell_angle_gamma 90.00
loop_
_symmetry_equiv_pos_as_xyz
'x,y,z'
'-x,-y,z'
'x+1/2,-y+1/2,-z'
'-x+1/2,y+1/2,-z'
loop_
_atom_site_label
_atom_site_type_symbol
_atom_site_fract_x
_atom_site_fract_y
_atom_site_fract_z
Te1 Te 0.2043 0.1099 0.2622
```

***

No. 2
Structure and simulated powder XRD pattern of LiCO2 (a DFT-relaxed cell (GGA-PBE, the Materials Project); Cu Kα X-rays).
Lines closer than 0.1° are merged.

Top 8 peaks for 2θ = 10–80°, by angle:
2θ 19.66, intensity 413, hkl 0 1 1
2θ 26.13, intensity 186, hkl 1 0 0
2θ 27.63, intensity 256, hkl 1 0 -2
2θ 30.43, intensity 168, hkl 1 1 -1
2θ 31.37, intensity 409, hkl 1 1 0
2θ 32.65, intensity 1000, hkl 1 1 -2
2θ 34.50, intensity 301, hkl 0 2 0
2θ 53.51, intensity 165, hkl 0 2 4

```
data_LiCO2
_symmetry_space_group_name_H-M 'P 1 21/c 1'
_symmetry_Int_Tables_number 14
_cell_length_a 3.5719
_cell_length_b 5.1999
_cell_length_c 9.5332
_cell_angle_alpha 90.00
_cell_angle_beta 107.29
_cell_angle_gamma 90.00
loop_
_symmetry_equiv_pos_as_xyz
'x,y,z'
'-x,-y,-z'
'-x,y+1/2,-z+1/2'
'x,-y+1/2,z+1/2'
loop_
_atom_site_label
_atom_site_type_symbol
_atom_site_fract_x
_atom_site_fract_y
_atom_site_fract_z
Li1 Li 0.1613 0.0130 0.2090
C1 C 0.4002 0.1315 0.5071
O1 O 0.1605 0.2190 0.3913
O2 O 0.4933 0.2338 0.6336
```

***

No. 3
Structure and simulated powder XRD pattern of GdIr3 (a DFT-relaxed cell (GGA-PBE, the Materials Project); Cu Kα X-rays).
Lines closer than 0.1° are merged.

Top 8 peaks for 2θ = 10–80°, by angle:
2θ 19.49, intensity 223, hkl 1 1 0
2θ 33.56, intensity 200, hkl 0 2 0
2θ 39.10, intensity 288, hkl 4 0 -1
2θ 39.50, intensity 1000, hkl 3 1 1
2θ 41.13, intensity 260, hkl 0 0 4
2θ 42.51, intensity 180, hkl 1 1 -4
2θ 42.70, intensity 399, hkl 2 2 1
2θ 70.54, intensity 260, hkl 0 4 0

```
data_GdIr3
_symmetry_space_group_name_H-M 'C 1 2/m 1'
_symmetry_Int_Tables_number 12
_cell_length_a 9.2511
_cell_length_b 5.3400
_cell_length_c 9.3137
_cell_angle_alpha 90.00
_cell_angle_beta 109.50
_cell_angle_gamma 90.00
loop_
_symmetry_equiv_pos_as_xyz
'x,y,z'
'-x,-y,-z'
'-x,y,-z'
'x,-y,z'
'x+1/2,y+1/2,z'
'-x+1/2,-y+1/2,-z'
'-x+1/2,y+1/2,-z'
'x+1/2,-y+1/2,z'
loop_
_atom_site_label
_atom_site_type_symbol
_atom_site_fract_x
_atom_site_fract_y
_atom_site_fract_z
Gd1 Gd 0.0000 0.0000 0.0000
Gd2 Gd 0.1397 0.0000 0.4185
Ir1 Ir 0.0000 0.5000 0.5000
Ir2 Ir 0.0813 0.5000 0.2451
Ir3 Ir 0.1683 0.2524 0.7553
Ir4 Ir 0.1679 0.5000 0.0032
```

***

No. 4
Structure and simulated powder XRD pattern of Tb3DyAl8 (a DFT-relaxed cell (GGA-PBE, the Materials Project); Cu Kα X-rays).
Lines closer than 0.1° are merged.

Top 8 peaks for 2θ = 10–80°, by angle:
2θ 19.51, intensity 632, hkl 0 0 6
2θ 32.12, intensity 1000, hkl 1 1 0
2θ 37.86, intensity 990, hkl 1 1 6
2θ 50.47, intensity 165, hkl 0 1 14
2θ 57.26, intensity 388, hkl 3 0 0
2θ 61.09, intensity 325, hkl 2 0 14
2θ 67.18, intensity 214, hkl 2 2 0
2θ 76.42, intensity 166, hkl 3 1 8

```
data_Tb3DyAl8
_symmetry_space_group_name_H-M 'R 3 m'
_symmetry_Int_Tables_number 160
_symmetry_space_group_name_Hall 'R 3 -2"'
_cell_length_a 5.5735
_cell_length_b 5.5735
_cell_length_c 27.3051
_cell_angle_alpha 90.00
_cell_angle_beta 90.00
_cell_angle_gamma 120.00
loop_
_atom_site_label
_atom_site_type_symbol
_atom_site_fract_x
_atom_site_fract_y
_atom_site_fract_z
Tb1 Tb 0.0000 0.0000 0.0000
Tb2 Tb 0.0000 0.0000 0.1251
Tb3 Tb 0.0000 0.0000 0.6252
Dy1 Dy 0.0000 0.0000 0.5000
Al1 Al 0.0000 0.0000 0.3126
Al2 Al 0.0000 0.0000 0.8126
Al3 Al 0.0002 0.5001 0.0626
Al4 Al 0.0002 0.5001 0.5625
```